No. 1
Pr3CBr3: computed powder diffraction line list (Cu Kα (λ = 1.5418 Å)), based on the PBE geometry in Alexandria.

Most intense lines, 10 to 90 degrees two-theta, by intensity:
30.97°, I = 100; 44.36°, I = 65; 28.92°, I = 52; 36.48°, I = 30; 58.74°, I = 24; 10.83°, I = 21; 55.08°, I = 20; 73.30°, I = 19; 63.40°, I = 19; 81.67°, I = 13

Cell and atoms:
Lattice parameters (Å, degrees): 10.004 10.004 10.004 109.47 109.47 109.47
Fractional positions:
Pr1 0.020 0.041 0.270
Pr2 0.020 0.480 0.750
Pr3 0.041 0.270 0.020
Pr4 0.230 0.270 0.750
Pr5 0.230 0.459 0.480
Pr6 0.270 0.020 0.041
Pr7 0.270 0.750 0.230
Pr8 0.459 0.480 0.230
Pr9 0.480 0.230 0.459
Pr10 0.480 0.750 0.020
Pr11 0.750 0.020 0.480
Pr12 0.750 0.230 0.270
C1 0.000 0.250 0.500
C2 0.250 0.250 0.250
C3 0.250 0.500 0.000
C4 0.500 0.000 0.250
Br1 0.250 0.760 0.740
Br2 0.250 0.990 0.510
Br3 0.510 0.250 0.990
Br4 0.510 0.760 0.519
Br5 0.519 0.510 0.760
Br6 0.740 0.250 0.760
Br7 0.740 0.990 0.981
Br8 0.760 0.519 0.510
Br9 0.760 0.740 0.250
Br10 0.981 0.740 0.990
Br11 0.990 0.510 0.250
Br12 0.990 0.981 0.740

---

No. 2
PrTmCBr: computed powder diffraction line list (Cu Kα (λ = 1.5418 Å)), based on the PBE geometry in Alexandria.

Most intense lines, 10 to 90 degrees two-theta, by intensity:
34.55°, I = 100; 32.25°, I = 77; 28.03°, I = 50; 49.04°, I = 42; 62.87°, I = 34; 36.83°, I = 27; 50.30°, I = 22; 61.37°, I = 19; 82.26°, I = 16; 66.28°, I = 15

Cell and atoms:
Lattice parameters (Å, degrees): 7.629 7.629 7.629 28.19 28.19 28.19
Fractional positions:
Pr1 0.000 0.000 0.000
Tm1 0.787 0.787 0.787
C1 0.402 0.402 0.402
Br1 0.219 0.219 0.219

---

No. 3
Rb2CSeBr6: computed powder diffraction line list (Cu Kα (λ = 1.5418 Å)), based on the PBE geometry in Alexandria.

Most intense lines, 10 to 90 degrees two-theta, by intensity:
29.52°, I = 100; 34.67°, I = 56; 48.84°, I = 40; 33.31°, I = 31; 59.00°, I = 26; 61.28°, I = 19; 49.85°, I = 19; 57.20°, I = 13; 79.25°, I = 10; 83.56°, I = 8

Cell and atoms:
Lattice parameters (Å, degrees): 7.465 7.465 7.465 121.30 121.30 87.77
Fractional positions:
Rb1 0.250 0.750 0.500
Rb2 0.750 0.250 0.500
C1 0.000 0.000 0.000
Se1 0.500 0.500 0.000
Br1 0.232 0.232 0.000
Br2 0.238 0.238 0.476
Br3 0.238 0.762 0.000
Br4 0.762 0.238 0.000
Br5 0.762 0.762 0.524
Br6 0.768 0.768 0.000

---

No. 4
Sc3CBr3: computed powder diffraction line list (Cu Kα (λ = 1.5418 Å)), based on the PBE geometry in Alexandria.

Most intense lines, 10 to 90 degrees two-theta, by intensity:
34.28°, I = 100; 49.26°, I = 61; 32.01°, I = 43; 29.57°, I = 27; 40.44°, I = 21; 82.45°, I = 19; 61.39°, I = 18; 58.52°, I = 18; 65.56°, I = 14; 20.80°, I = 12

Cell and atoms:
Lattice parameters (Å, degrees): 9.061 9.061 9.061 109.47 109.47 109.47
Fractional positions:
Sc1 0.027 0.054 0.277
Sc2 0.027 0.473 0.750
Sc3 0.054 0.277 0.027
Sc4 0.223 0.277 0.750
Sc5 0.223 0.446 0.473
Sc6 0.277 0.027 0.054
Sc7 0.277 0.750 0.223
Sc8 0.446 0.473 0.223
Sc9 0.473 0.223 0.446
Sc10 0.473 0.750 0.027
Sc11 0.750 0.027 0.473
Sc12 0.750 0.223 0.277
C1 0.000 0.250 0.500
C2 0.250 0.250 0.250
C3 0.250 0.500 0.000
C4 0.500 0.000 0.250
Br1 0.250 0.756 0.744
Br2 0.250 0.994 0.506
Br3 0.506 0.250 0.994
Br4 0.506 0.756 0.512
Br5 0.512 0.506 0.756
Br6 0.744 0.250 0.756
Br7 0.744 0.994 0.988
Br8 0.756 0.512 0.506
Br9 0.756 0.744 0.250
Br10 0.988 0.744 0.994
Br11 0.994 0.506 0.250
Br12 0.994 0.988 0.744